[1]
For Tc3Sn, a crystal structure in the Materials Project, relaxed with GGA-PBE gives the calculated powder diffractogram in this record (Cu Ka).
Intensities are scaled so that the largest is 100.

Cell and atoms:
a = 5.6534 Å, b = 5.6534 Å, c = 4.6031 Å
α = 90.00°, β = 90.00°, γ = 120.00°
Element x y z (fractional)
Tc1 0.1649 0.3298 0.2500
Tc2 0.1649 0.8351 0.2500
Tc3 0.3298 0.1649 0.7500
Tc4 0.6702 0.8351 0.2500
Tc5 0.8351 0.1649 0.7500
Tc6 0.8351 0.6702 0.7500
Sn1 0.3333 0.6667 0.7500
Sn2 0.6667 0.3333 0.2500

Principal peaks in the range 2θ from 10° to 90°, in order of rising 2θ:
(1 0 1), 26.58°, 3.354 Å, I 1
(2 0 0), 36.71°, 2.448 Å, I 24
(0 0 2), 39.14°, 2.302 Å, I 27
(2 0 1), 41.79°, 2.161 Å, I 100
(2 0 2), 54.74°, 1.677 Å, I 15
(2 2 0), 66.11°, 1.413 Å, I 17
(2 0 3), 72.74°, 1.300 Å, I 19
(4 0 0), 78.08°, 1.224 Å, I 3
(2 2 2), 79.60°, 1.204 Å, I 20
(4 0 1), 81.34°, 1.183 Å, I 14
(0 0 4), 84.12°, 1.151 Å, I 3

=====

[2]
For CuAuO2, a crystal structure in the Materials Project, relaxed with GGA-PBE gives the calculated powder diffractogram in this record (Cu Ka).
Intensities are scaled so that the largest is 100.

Cell and atoms:
a = 6.2961 Å, b = 2.8482 Å, c = 6.1804 Å
α = 90.00°, β = 98.03°, γ = 90.00°
Element x y z (fractional)
Cu1 0.0000 0.0000 0.0000
Cu2 0.5000 0.5000 0.0000
Au1 0.0000 0.5000 0.5000
Au2 0.5000 0.0000 0.5000
O1 0.0867 0.5000 0.8298
O2 0.4133 0.0000 0.1702
O3 0.5867 0.0000 0.8298
O4 0.9133 0.5000 0.1702

Principal peaks in the range 2θ from 10° to 90°, in order of rising 2θ:
(0 0 1), 14.47°, 6.120 Å, I 69
(2 0 0), 28.64°, 3.117 Å, I 100
(0 0 2), 29.19°, 3.060 Å, I 73
(2 0 -1), 30.31°, 2.949 Å, I 23
(1 1 0), 34.62°, 2.591 Å, I 38
(1 1 -1), 36.88°, 2.437 Å, I 93
(2 0 -2), 38.23°, 2.354 Å, I 32
(1 1 1), 38.51°, 2.337 Å, I 65
(2 0 2), 44.28°, 2.045 Å, I 31
(3 1 -1), 55.07°, 1.668 Å, I 34
(1 1 -3), 55.71°, 1.650 Å, I 32
(1 1 3), 59.27°, 1.559 Å, I 37

=====

[3]
For NbCr3Cu2S8, a crystal structure in the Materials Project, relaxed with GGA-PBE gives the calculated powder diffractogram in this record (Cu Ka).
Intensities are scaled so that the largest is 100.

Cell and atoms:
a = 5.8504 Å, b = 6.9608 Å, c = 5.9262 Å
α = 90.00°, β = 92.80°, γ = 90.00°
Element x y z (fractional)
Nb1 0.0000 0.0000 0.0000
Cr1 0.0000 0.2499 0.5000
Cr2 0.0000 0.5000 0.0000
Cr3 0.0000 0.7501 0.5000
Cu1 0.5000 0.0000 0.0000
Cu2 0.5000 0.5000 0.0000
S1 0.2197 0.5000 0.6767
S2 0.2399 0.0000 0.6681
S3 0.2459 0.2566 0.1798
S4 0.2459 0.7434 0.1798
S5 0.7541 0.2566 0.8202
S6 0.7541 0.7434 0.8202
S7 0.7601 0.0000 0.3319
S8 0.7803 0.5000 0.3233

Principal peaks in the range 2θ from 10° to 90°, in order of rising 2θ:
(0 0 1), 14.97°, 5.919 Å, I 80
(1 0 0), 15.16°, 5.843 Å, I 57
(0 2 1), 29.78°, 3.000 Å, I 78
(1 0 -2), 33.25°, 2.694 Å, I 52
(1 2 1), 33.92°, 2.642 Å, I 85
(2 0 -2), 42.40°, 2.132 Å, I 66
(2 2 -1), 42.66°, 2.120 Å, I 83
(2 2 1), 43.78°, 2.068 Å, I 100
(2 0 2), 44.63°, 2.030 Å, I 42
(0 4 0), 52.59°, 1.740 Å, I 40
(0 2 3), 53.38°, 1.716 Å, I 75
(2 4 -2), 69.78°, 1.348 Å, I 34

=====

[4]
For Ca3BiAu14, a crystal structure in the Materials Project, relaxed with GGA-PBE gives the calculated powder diffractogram in this record (Cu Ka).
Intensities are scaled so that the largest is 100.

Cell and atoms:
a = 5.5522 Å, b = 5.5522 Å, c = 14.1321 Å
α = 90.00°, β = 90.00°, γ = 120.00°
Element x y z (fractional)
Ca1 0.0000 0.0000 0.0000
Ca2 0.3333 0.6667 0.6543
Ca3 0.6667 0.3333 0.3268
Bi1 0.3333 0.6667 0.9100
Au1 0.0000 0.0000 0.2437
Au2 0.0000 0.0000 0.6151
Au3 0.1665 0.3331 0.4515
Au4 0.1665 0.8335 0.4515
Au5 0.3333 0.6667 0.2868
Au6 0.3349 0.1674 0.7793
Au7 0.5007 0.0014 0.1240
Au8 0.5007 0.4993 0.1240
Au9 0.6667 0.3333 0.5732
Au10 0.6667 0.3333 0.9528
Au11 0.6669 0.8335 0.4515
Au12 0.8326 0.1674 0.7793
Au13 0.8326 0.6651 0.7793
Au14 0.9986 0.4993 0.1240

Principal peaks in the range 2θ from 10° to 90°, in order of rising 2θ:
(1 0 1), 19.50°, 4.552 Å, I 46
(0 1 5), 36.89°, 2.437 Å, I 54
(1 1 3), 37.61°, 2.392 Å, I 100
(0 2 1), 37.96°, 2.370 Å, I 49
(0 0 6), 38.21°, 2.355 Å, I 30
(2 0 2), 39.60°, 2.276 Å, I 86
(0 2 4), 45.64°, 1.988 Å, I 26
(1 2 5), 60.57°, 1.529 Å, I 26
(0 3 3), 61.07°, 1.517 Å, I 25
(2 0 8), 65.58°, 1.424 Å, I 31
(2 2 0), 67.48°, 1.388 Å, I 30
(2 2 6), 80.28°, 1.196 Å, I 22

=====

[5]
For Pb2O3, a crystal structure in the Materials Project, relaxed with GGA-PBE gives the calculated powder diffractogram in this record (Cu Ka).
Intensities are scaled so that the largest is 100.

Cell and atoms:
a = 3.4113 Å, b = 8.2942 Å, c = 5.8479 Å
α = 90.00°, β = 102.41°, γ = 90.00°
Element x y z (fractional)
Pb1 0.0000 0.0000 0.0000
Pb2 0.0000 0.5000 0.0000
Pb3 0.3606 0.2500 0.5489
Pb4 0.6394 0.7500 0.4511
O1 0.0587 0.7500 0.1528
O2 0.4070 0.5362 0.7511
O3 0.4070 0.9638 0.7511
O4 0.5930 0.0362 0.2489
O5 0.5930 0.4638 0.2489
O6 0.9413 0.2500 0.8472

Principal peaks in the range 2θ from 10° to 90°, in order of rising 2θ:
(0 2 1), 26.56°, 3.356 Å, I 100
(1 0 -1), 27.95°, 3.192 Å, I 22
(1 1 -1), 30.00°, 2.979 Å, I 15
(0 0 2), 31.32°, 2.856 Å, I 24
(1 0 1), 33.94°, 2.641 Å, I 28
(1 2 0), 34.53°, 2.597 Å, I 30
(1 1 -2), 38.41°, 2.344 Å, I 13
(0 4 0), 43.65°, 2.074 Å, I 18
(1 2 2), 51.37°, 1.779 Å, I 21
(0 2 3), 52.92°, 1.730 Å, I 12
(0 4 2), 54.74°, 1.677 Å, I 19
(1 4 1), 56.40°, 1.631 Å, I 17

=====

[6]
For BaCdP2O7, a crystal structure in the Materials Project, relaxed with GGA-PBE gives the calculated powder diffractogram in this record (Cu Ka).
Intensities are scaled so that the largest is 100.

Cell and atoms:
a = 5.7405 Å, b = 7.1760 Å, c = 7.7748 Å
α = 78.42°, β = 89.42°, γ = 86.38°
Element x y z (fractional)
Ba1 0.2370 0.2355 0.4385
Ba2 0.7630 0.7645 0.5615
Cd1 0.2109 0.3474 0.9010
Cd2 0.7891 0.6526 0.0990
P1 0.2804 0.7335 0.2968
P2 0.2812 0.8315 0.9045
P3 0.7188 0.1685 0.0955
P4 0.7196 0.2665 0.7032
O1 0.0674 0.6092 0.3138
O2 0.0923 0.6873 0.8921
O3 0.2316 0.0266 0.7893
O4 0.2671 0.8719 0.1044
O5 0.2707 0.8615 0.4315
O6 0.4740 0.2608 0.1189
O7 0.4914 0.3935 0.6904
O8 0.5086 0.6065 0.3096
O9 0.5260 0.7392 0.8811
O10 0.7293 0.1385 0.5685
O11 0.7329 0.1281 0.8956
O12 0.7684 0.9734 0.2107
O13 0.9077 0.3127 0.1079
O14 0.9326 0.3908 0.6862

Principal peaks in the range 2θ from 10° to 90°, in order of rising 2θ:
(1 1 0), 19.38°, 4.580 Å, I 40
(1 -1 0), 20.62°, 4.308 Å, I 17
(0 2 0), 25.39°, 3.508 Å, I 49
(1 0 2), 28.14°, 3.171 Å, I 100
(-1 1 2), 29.31°, 3.047 Å, I 49
(0 2 -1), 30.11°, 2.968 Å, I 15
(-1 2 1), 30.99°, 2.885 Å, I 37
(2 0 0), 31.22°, 2.865 Å, I 47
(2 1 2), 39.32°, 2.291 Å, I 38
(1 2 -2), 40.77°, 2.213 Å, I 15
(1 -2 2), 42.11°, 2.146 Å, I 15
(1 -1 3), 43.62°, 2.075 Å, I 15

=====

[7]
For TlZn2Tc, a crystal structure in the Materials Project, relaxed with GGA-PBE gives the calculated powder diffractogram in this record (Cu Ka).
Intensities are scaled so that the largest is 100.

Cell and atoms:
a = 6.4833 Å, b = 6.4833 Å, c = 6.4833 Å
α = 90.00°, β = 90.00°, γ = 90.00°
Element x y z (fractional)
Tl1 0.0000 0.0000 0.0000
Tl2 0.0000 0.5000 0.5000
Tl3 0.5000 0.0000 0.5000
Tl4 0.5000 0.5000 0.0000
Zn1 0.0000 0.0000 0.5000
Zn2 0.0000 0.5000 0.0000
Zn3 0.2500 0.2500 0.2500
Zn4 0.2500 0.7500 0.7500
Zn5 0.5000 0.0000 0.0000
Zn6 0.5000 0.5000 0.5000
Zn7 0.7500 0.2500 0.7500
Zn8 0.7500 0.7500 0.2500
Tc1 0.2500 0.2500 0.7500
Tc2 0.2500 0.7500 0.2500
Tc3 0.7500 0.2500 0.2500
Tc4 0.7500 0.7500 0.7500

Principal peaks in the range 2θ from 10° to 90°, in order of rising 2θ:
(1 1 1), 23.77°, 3.743 Å, I 21
(2 0 0), 27.52°, 3.242 Å, I 6
(2 2 0), 39.31°, 2.292 Å, I 100
(3 1 1), 46.45°, 1.955 Å, I 11
(2 2 2), 48.65°, 1.872 Å, I 2
(4 0 0), 56.80°, 1.621 Å, I 17
(3 3 1), 62.44°, 1.487 Å, I 5
(4 2 0), 64.25°, 1.450 Å, I 3
(4 2 2), 71.26°, 1.323 Å, I 34
(5 1 1), 76.32°, 1.248 Å, I 4
(4 4 0), 84.54°, 1.146 Å, I 11
(5 3 1), 89.41°, 1.096 Å, I 4

=====

[8]
For CaAlSiH, a crystal structure in the Materials Project, relaxed with GGA-PBE gives the calculated powder diffractogram in this record (Cu Ka).
Intensities are scaled so that the largest is 100.

Cell and atoms:
a = 4.1433 Å, b = 4.1433 Å, c = 4.6982 Å
α = 90.00°, β = 90.00°, γ = 120.00°
Element x y z (fractional)
Ca1 0.0000 0.0000 0.0000
Al1 0.6667 0.3333 0.4572
Si1 0.3333 0.6667 0.5660
H1 0.6667 0.3333 0.0839

Principal peaks in the range 2θ from 10° to 90°, in order of rising 2θ:
(1 0 1), 31.37°, 2.852 Å, I 100
(0 0 2), 38.32°, 2.349 Å, I 14
(1 1 0), 43.69°, 2.072 Å, I 38
(0 1 2), 46.19°, 1.965 Å, I 9
(0 2 1), 54.77°, 1.676 Å, I 18
(1 1 2), 59.49°, 1.554 Å, I 21
(1 0 3), 64.97°, 1.435 Å, I 11
(2 1 1), 72.55°, 1.303 Å, I 15
(3 0 0), 80.26°, 1.196 Å, I 6
(0 2 3), 81.60°, 1.180 Å, I 6
(0 0 4), 82.05°, 1.175 Å, I 3
(0 1 4), 87.36°, 1.116 Å, I 3